(1)
The following is a theoretical X-ray powder pattern of Fe10O9F11. It was derived from a cell relaxed with GGA+U, using Cu Kα (weighted mean of Kα1 and Kα2).
Neutral-atom scattering factors, no anomalous dispersion.

Atomic structure:
Lattice parameters (Å, degrees): 4.7471 15.5670 4.7651 90.00 91.93 90.00
Positions (direct):
Fe  0.0000  0.0000  0.0000
Fe  0.0041  0.2020  0.9922
Fe  0.0041  0.7980  0.9922
Fe  0.4167  0.0997  0.5046
Fe  0.4167  0.9003  0.5046
Fe  0.4322  0.2936  0.4804
Fe  0.4322  0.7064  0.4804
Fe  0.4690  0.5000  0.5028
Fe  0.9691  0.4057  0.0075
Fe  0.9691  0.5943  0.0075
O  0.1453  0.3052  0.1780
O  0.1453  0.6948  0.1780
O  0.1525  0.1010  0.1854
O  0.1525  0.8990  0.1854
O  0.1665  0.5000  0.2034
O  0.2610  0.0000  0.6900
O  0.2638  0.1994  0.6880
O  0.2638  0.8006  0.6880
O  0.7622  0.5000  0.8002
F  0.2641  0.4019  0.6914
F  0.2641  0.5981  0.6914
F  0.6520  0.0000  0.3013
F  0.6543  0.4003  0.3030
F  0.6543  0.5997  0.3030
F  0.6603  0.1987  0.2897
F  0.6603  0.8013  0.2897
F  0.7570  0.3039  0.7883
F  0.7570  0.6961  0.7883
F  0.7622  0.1009  0.7934
F  0.7622  0.8991  0.7934

The 10 most intense peaks (5° ≤ 2θ ≤ 70°), in order of rising 2θ:
2theta	intensity
26.1	94
27.0	90
34.4	100
39.1	18
39.8	18
51.6	58
52.6	51
59.4	17
66.1	22
66.3	27

(2)
The following is a theoretical X-ray powder pattern of Li7TiCr3P6O24. It was derived from a cell relaxed with GGA+U, using Cu Kα (weighted mean of Kα1 and Kα2).
Neutral-atom scattering factors, no anomalous dispersion.

Atomic structure:
Lattice parameters (Å, degrees): 8.8126 8.8126 8.8126 60.46 60.46 60.46
Positions (direct):
Li  0.0000  0.0000  0.0000
Li  0.1542  0.7738  0.3239
Li  0.3239  0.1542  0.7738
Li  0.3262  0.5845  0.7614
Li  0.5845  0.7614  0.3262
Li  0.7614  0.3262  0.5845
Li  0.7738  0.3239  0.1542
Ti  0.6691  0.6691  0.6691
Cr  0.1699  0.1699  0.1699
Cr  0.3797  0.3797  0.3797
Cr  0.8781  0.8781  0.8781
P  0.0633  0.4798  0.7792
P  0.2737  0.9814  0.5709
P  0.4798  0.7792  0.0633
P  0.5709  0.2737  0.9814
P  0.7792  0.0633  0.4798
P  0.9814  0.5709  0.2737
O  0.0135  0.3997  0.2412
O  0.0532  0.6396  0.8156
O  0.0653  0.2981  0.9506
O  0.1113  0.9559  0.7539
O  0.1345  0.5525  0.3257
O  0.2412  0.0135  0.3997
O  0.2541  0.4371  0.6278
O  0.2981  0.9506  0.0653
O  0.3257  0.1345  0.5525
O  0.3997  0.2412  0.0135
O  0.4371  0.6278  0.2541
O  0.4385  0.7910  0.5881
O  0.5259  0.7297  0.8984
O  0.5525  0.3257  0.1345
O  0.5881  0.4385  0.7910
O  0.6278  0.2541  0.4371
O  0.6396  0.8156  0.0532
O  0.7297  0.8984  0.5259
O  0.7539  0.1113  0.9559
O  0.7910  0.5881  0.4385
O  0.8156  0.0532  0.6396
O  0.8984  0.5259  0.7297
O  0.9506  0.0653  0.2981
O  0.9559  0.7539  0.1113

The 10 most intense peaks (5° ≤ 2θ ≤ 70°), in order of rising 2θ:
2theta	intensity
14.2	19
20.0	17
20.2	44
23.6	100
28.6	32
31.1	18
32.1	32
35.1	29
48.2	14
54.8	20

(3)
The following is a theoretical X-ray powder pattern of FeO2. It was derived from a cell relaxed with GGA+U, using Cu Kα (weighted mean of Kα1 and Kα2).
Neutral-atom scattering factors, no anomalous dispersion.

Atomic structure:
Lattice parameters (Å, degrees): 7.3573 7.3573 7.3573 92.33 92.33 156.75
Positions (direct):
Fe  0.1498  0.6654  0.8152
Fe  0.3346  0.1498  0.4844
Fe  0.6654  0.8502  0.5156
Fe  0.8502  0.3346  0.1848
O  0.0435  0.3349  0.3784
O  0.2891  0.3468  0.6359
O  0.3349  0.9565  0.2915
O  0.3468  0.7109  0.0577
O  0.6532  0.2891  0.9423
O  0.6651  0.0435  0.7085
O  0.7109  0.6532  0.3641
O  0.9565  0.6651  0.6216

The 10 most intense peaks (5° ≤ 2θ ≤ 70°), in order of rising 2θ:
2theta	intensity
12.3	100
17.4	76
27.7	54
35.2	23
36.1	61
40.4	14
47.9	32
54.0	15
57.8	39
66.7	24

(4)
The following is a theoretical X-ray powder pattern of Li9Mn2Co5O16. It was derived from a cell relaxed with GGA+U, using Cu Kα (weighted mean of Kα1 and Kα2).
Neutral-atom scattering factors, no anomalous dispersion.

Atomic structure:
Lattice parameters (Å, degrees): 4.9913 5.9421 10.2445 106.00 100.31 90.69
Positions (direct):
Li  0.0000  0.0000  0.0000
Li  0.9999  0.4926  0.4901
Li  0.0065  0.9828  0.4912
Li  0.5034  0.2517  0.0031
Li  0.5026  0.7465  0.0031
Li  0.5075  0.2411  0.4943
Li  0.5085  0.7454  0.4971
Li  0.7530  0.6190  0.2467
Li  0.9968  0.5002  0.9980
Mn  0.2530  0.8701  0.2469
Mn  0.7549  0.1210  0.7481
Co  0.2479  0.8670  0.7430
Co  0.2541  0.3821  0.2473
Co  0.2588  0.3741  0.7510
Co  0.7526  0.6203  0.7465
Co  0.7538  0.1154  0.2472
O  0.1102  0.6797  0.8614
O  0.1170  0.1642  0.3588
O  0.1185  0.1738  0.8636
O  0.1546  0.6922  0.3621
O  0.3521  0.5791  0.1319
O  0.3898  0.0550  0.1354
O  0.3906  0.0682  0.6331
O  0.3949  0.5612  0.6302
O  0.6072  0.4466  0.8723
O  0.6171  0.9330  0.8581
O  0.6202  0.9436  0.3555
O  0.6228  0.3949  0.3531
O  0.8847  0.2906  0.1403
O  0.8870  0.8374  0.1390
O  0.8901  0.3074  0.6364
O  0.8985  0.7944  0.6217

The 10 most intense peaks (5° ≤ 2θ ≤ 70°), in order of rising 2θ:
2theta	intensity
18.4	100
35.4	15
35.9	14
36.7	12
37.5	8
42.7	30
43.5	28
44.5	26
62.5	8
62.7	8

(5)
The following is a theoretical X-ray powder pattern of Na2CrAuF6. It was derived from a cell relaxed with GGA+U, using Cu Kα (weighted mean of Kα1 and Kα2).
Neutral-atom scattering factors, no anomalous dispersion.

Atomic structure:
Lattice parameters (Å, degrees): 6.1122 6.1122 6.1122 60.00 60.00 60.00
Positions (direct):
Na  0.2500  0.2500  0.2500
Na  0.7500  0.7500  0.7500
Cr  0.0000  0.0000  0.0000
Au  0.5000  0.5000  0.5000
F  0.2230  0.2230  0.7770
F  0.2230  0.7770  0.2230
F  0.2230  0.7770  0.7770
F  0.7770  0.2230  0.2230
F  0.7770  0.2230  0.7770
F  0.7770  0.7770  0.2230

The 10 most intense peaks (5° ≤ 2θ ≤ 70°), in order of rising 2θ:
2theta	intensity
17.8	42
20.5	100
29.2	98
34.4	41
41.8	44
45.8	26
47.0	41
51.8	38
60.6	25
64.7	19